# 1
The following is a simulated X-ray diffraction stick pattern of TbNdCoPt. It was derived from a PBE-relaxed structure, using a wavelength of 1.5418 Å.
Lines closer than 0.1° are merged.

Atomic structure:
```
data_TbNdCoPt
_symmetry_space_group_name_H-M 'P 1'
_symmetry_Int_Tables_number 1
_cell_length_a 4.945
_cell_length_b 4.945
_cell_length_c 4.945
_cell_angle_alpha 60.00
_cell_angle_beta 60.00
_cell_angle_gamma 60.00
loop_
_symmetry_equiv_pos_as_xyz
'x,y,z'
loop_
_atom_site_label
_atom_site_fract_x
_atom_site_fract_y
_atom_site_fract_z
Tb1 0.000 0.000 0.000
Nd1 0.500 0.500 0.500
Co1 0.250 0.250 0.250
Pt1 0.750 0.750 0.750
```

Main lines, in order of rising 2θ (2θ = 15–90°):
22.0 deg, I = 13; 36.3 deg, I = 100; 42.9 deg, I = 7; 52.3 deg, I = 18; 57.4 deg, I = 3; 65.4 deg, I = 36; 77.2 deg, I = 11; 88.4 deg, I = 16

=====

# 2
The following is a simulated X-ray diffraction stick pattern of LiTh4Ga12. It was derived from a PBE-relaxed structure, using a wavelength of 1.5418 Å.
Lines closer than 0.1° are merged.

Atomic structure:
```
data_LiTh4Ga12
_symmetry_space_group_name_H-M 'P 1'
_symmetry_Int_Tables_number 1
_cell_length_a 7.720
_cell_length_b 7.720
_cell_length_c 7.720
_cell_angle_alpha 109.47
_cell_angle_beta 109.47
_cell_angle_gamma 109.47
loop_
_symmetry_equiv_pos_as_xyz
'x,y,z'
loop_
_atom_site_label
_atom_site_fract_x
_atom_site_fract_y
_atom_site_fract_z
Li1 0.000 0.000 0.000
Th1 0.000 0.000 0.500
Th2 0.000 0.500 0.000
Th3 0.500 0.000 0.000
Th4 0.500 0.500 0.500
Ga1 0.000 0.307 0.307
Ga2 0.000 0.693 0.693
Ga3 0.250 0.500 0.750
Ga4 0.250 0.750 0.500
Ga5 0.307 0.000 0.307
Ga6 0.307 0.307 0.000
Ga7 0.500 0.250 0.750
Ga8 0.500 0.750 0.250
Ga9 0.693 0.000 0.693
Ga10 0.693 0.693 0.000
Ga11 0.750 0.250 0.500
Ga12 0.750 0.500 0.250
```

Main lines, in order of rising 2θ (2θ = 15–90°):
19.9 deg, I = 33; 28.3 deg, I = 42; 34.9 deg, I = 100; 40.5 deg, I = 49; 45.5 deg, I = 25; 58.6 deg, I = 29; 62.5 deg, I = 15; 70.0 deg, I = 31

=====

# 3
The following is a simulated X-ray diffraction stick pattern of Cs2PrAlO4. It was derived from a PBE-relaxed structure, using a wavelength of 1.5418 Å.
Lines closer than 0.1° are merged.

Atomic structure:
```
data_Cs2PrAlO4
_symmetry_space_group_name_H-M 'P 1'
_symmetry_Int_Tables_number 1
_cell_length_a 13.886
_cell_length_b 12.657
_cell_length_c 7.025
_cell_angle_alpha 84.60
_cell_angle_beta 65.16
_cell_angle_gamma 30.24
loop_
_symmetry_equiv_pos_as_xyz
'x,y,z'
loop_
_atom_site_label
_atom_site_fract_x
_atom_site_fract_y
_atom_site_fract_z
Cs1 0.060 0.060 0.690
Cs2 0.310 0.310 0.940
Cs3 0.690 0.690 0.060
Cs4 0.940 0.940 0.310
Pr1 0.125 0.125 0.125
Pr2 0.875 0.875 0.875
Al1 0.375 0.375 0.375
Al2 0.625 0.625 0.625
O1 0.058 0.618 0.524
O2 0.300 0.524 0.618
O3 0.382 0.942 0.700
O4 0.476 0.700 0.942
O5 0.524 0.300 0.058
O6 0.618 0.058 0.300
O7 0.700 0.476 0.382
O8 0.942 0.382 0.476
```

Main lines, in order of rising 2θ (2θ = 15–90°):
17.2 deg, I = 65; 24.7 deg, I = 72; 25.8 deg, I = 100; 26.2 deg, I = 37; 27.9 deg, I = 44; 31.8 deg, I = 68; 34.0 deg, I = 55; 47.8 deg, I = 45